Diffraction record for MgSbS3. The powder X-ray diffraction pattern is calculated, not measured: it uses a crystal structure in Alexandria, relaxed with GGA-PBE and Cu Kα.
Intensities are scaled so that the largest is 100.

Structure:
Unit cell a=3.843 b=6.998 c=11.522 alpha=90.00 beta=90.00 gamma=90.00
Space group Amm2 (No. 38)
Inequivalent atoms, fractional coordinates:
Mg 0.000 0.000 0.000 [2 per cell]
Sb 0.500 0.000 0.333 [2 per cell]
S 0.000 0.237 0.841 [4 per cell]
S 0.500 0.000 0.121 [2 per cell]

The 10 most intense peaks (10° ≤ 2θ ≤ 80°), low angle first:
hkl  Position (°2θ)  I_rel
0 1 1  14.8  100.0
0 0 2  15.4  64.2
0 2 0  25.5  11.3
0 1 3  26.5  23.5
1 1 1  27.6  63.0
0 0 4  31.0  20.0
1 2 0  34.7  29.4
1 2 2  38.1  35.8
2 0 0  47.2  40.9
1 1 5  47.8  18.4